Cs2GaSb: computed powder XRD pattern (Cu Kα (λ = 1.5418 Å)), based on a crystal structure in Alexandria, relaxed with GGA-PBE.
Peak positions follow from Bragg's law for the DFT cell and can differ from measured ones.

Top 12 peaks for 2θ from 10° to 80°, by angle:
2theta  Rel. int.  hkl
21.5  22  2 2 0
22.5  20  0 2 2
25.9  17  3 1 1
27.4  100  2 2 2
27.5  47  1 1 3
30.0  20  0 4 0
31.2  21  4 0 0
33.6  32  3 3 1
33.9  19  0 0 4
47.2  16  4 4 2
47.9  18  5 1 3
48.7  20  2 4 4

Atomic structure:
a b c (Å): 11.4757 11.9218 10.5811
angles (deg): 90.00 90.00 90.00
Space group Cmce (No. 64)
Inequivalent atoms, fractional coordinates:
Cs 0.0000 0.0019 0.1774 (multiplicity 8)
Cs 0.2500 0.2492 0.7500 (multiplicity 8)
Ga 0.0000 0.1438 0.5006 (multiplicity 8)
Sb 0.1901 0.0000 0.5000 (multiplicity 8)